This entry pairs a crystal structure of NaBrCl2 with its simulated powder diffraction line list. Radiation: Cu Kα (λ = 1.5418 Å). Structure: the PBE geometry in Alexandria.
Lines closer than 0.1° are merged.

Largest 10 diffraction maxima, by angle, 10 to 80 degrees two-theta:
index	two_theta	I (rel.)
1 2 0	17.70	100.0
0 1 1	17.99	92.4
1 1 1	22.01	97.7
1 3 0	22.57	53.8
1 2 1	24.55	73.8
0 4 0	24.98	90.3
0 3 1	25.27	65.1
2 0 1	30.57	75.8
1 1 2	37.06	46.5
2 4 1	39.87	52.9

Structural model:
Unit cell a=7.0408 b=14.2610 c=5.2548 alpha=90.00 beta=90.00 gamma=90.00
Space group Pna2_1 (No. 33)
Symmetry-distinct sites (fractional):
Na: 0.0296 0.1276 0.0000
Br: 0.1323 0.3782 0.2269
Cl: 0.0899 0.6808 0.4259
Cl: 0.1056 0.9306 0.0058

This entry pairs a crystal structure of Er3Ag with its simulated powder diffraction line list. Radiation: Cu Kα (λ = 1.5418 Å). Structure: the PBE geometry in Alexandria.
Lines closer than 0.1° are merged.

Largest 10 diffraction maxima, by angle, 10 to 80 degrees two-theta:
index	two_theta	I (rel.)
3 2 1	30.45	92.2
1 1 2	31.15	63.3
3 3 0	31.42	51.7
4 2 0	33.17	36.4
1 4 1	33.95	100.0
2 2 2	36.20	47.0
1 5 0	37.99	20.9
1 6 1	48.20	21.5
2 3 3	52.67	21.7
5 5 2	62.31	20.4

Structural model:
Unit cell a=12.0778 b=12.0778 c=6.0977 alpha=90.00 beta=90.00 gamma=90.00
Space group I-4 (No. 82)
Symmetry-distinct sites (fractional):
Er: 0.0047 0.1436 0.2545
Er: 0.0924 0.5987 0.4826
Er: 0.1990 0.7078 0.9836
Ag: 0.0071 0.2084 0.7543